No. 1
Structure and simulated powder diffraction line list of Ac4In5Ge6 (DFT lattice parameters and positions (PBE); Cu Kα (λ = 1.5418 Å)).

Most intense lines, 10° ≤ 2θ ≤ 90°, in order of rising 2θ:
(hkl)	2θ/deg	d [Å]	intensity
0 6 0	25.1	3.552	51
1 1 4	28.8	3.103	72
0 0 6	31.9	2.810	29
1 5 3	32.6	2.751	100
1 5 4	35.6	2.524	26
2 0 0	38.3	2.350	50

Atomic structure:
Cell: 4.7011 21.2689 16.8578 Å, 90.00 90.00 90.00°
Space group Cmc2_1 (No. 36)
Asymmetric unit:
Ac 0.0000 0.0195 0.0000
Ac 0.0000 0.0426 0.2669
Ac 0.0000 0.1569 0.7967
Ac 0.0000 0.1775 0.4503
In 0.0000 0.1596 0.1243
In 0.0000 0.3101 0.1155
In 0.0000 0.3372 0.7831
In 0.0000 0.3574 0.4658
In 0.0000 0.4537 0.1694
Ge 0.0000 0.1014 0.6163
Ge 0.0000 0.2152 0.9786
Ge 0.0000 0.2343 0.2624
Ge 0.0000 0.4185 0.6303
Ge 0.0000 0.4322 0.9119
Ge 0.0000 0.4530 0.3460

=====

No. 2
Structure and simulated powder diffraction line list of Ac8In3Ge (DFT lattice parameters and positions (PBE); Cu Kα (λ = 1.5418 Å)).

Most intense lines, 10° ≤ 2θ ≤ 90°, in order of rising 2θ:
(hkl)	2θ/deg	d [Å]	intensity
2 0 0	22.5	3.945	44
2 2 0	32.1	2.790	100
2 2 4	39.6	2.278	14
4 0 0	46.0	1.973	18
4 2 0	51.8	1.764	20
4 2 4	57.2	1.611	39

Atomic structure:
Cell: 7.8962 7.8962 15.7604 Å, 90.00 90.00 90.00°
Space group I4/mmm (No. 139)
Asymmetric unit:
Ac 0.2440 0.2440 0.1212
In 0.0000 0.0000 0.5000
In 0.0000 0.5000 0.2500
Ge 0.0000 0.0000 0.0000

=====

No. 3
Structure and simulated powder diffraction line list of Ac2In2Ge3 (DFT lattice parameters and positions (PBE); Cu Kα (λ = 1.5418 Å)).

Most intense lines, 10° ≤ 2θ ≤ 90°, in order of rising 2θ:
(hkl)	2θ/deg	d [Å]	intensity
3 1 -1	25.4	3.508	70
3 1 -3	28.6	3.117	61
1 1 2	29.2	3.055	61
3 1 1	32.7	2.738	79
3 1 -4	33.7	2.658	100
0 2 0	39.1	2.302	73

Atomic structure:
Cell: 16.6410 4.6043 13.0261 Å, 90.00 126.98 90.00°
Space group C2/m (No. 12)
Asymmetric unit:
Ac 0.1005 0.0000 0.4473
Ac 0.2314 0.0000 0.8333
In 0.0518 0.5000 0.8131
In 0.0971 0.0000 0.1647
Ge 0.0829 0.5000 0.6161
Ge 0.1175 0.0000 0.9663
Ge 0.1614 0.5000 0.3181

=====

No. 4
Structure and simulated powder diffraction line list of Ac4InGe2 (DFT lattice parameters and positions (PBE); Cu Kα (λ = 1.5418 Å)).

Most intense lines, 10° ≤ 2θ ≤ 90°, in order of rising 2θ:
(hkl)	2θ/deg	d [Å]	intensity
0 0 4	24.4	3.642	95
3 1 1	27.3	3.267	100
1 3 3	27.5	3.248	76
1 1 5	32.5	2.753	53
1 5 1	32.7	2.736	37
2 0 6	41.1	2.198	36

Atomic structure:
Cell: 10.3395 14.4647 14.5674 Å, 90.00 90.00 90.00°
Space group Fddd (No. 70, origin choice 2)
Asymmetric unit:
Ac 0.0485 0.2842 0.4648
In 0.1250 0.1250 0.6250
Ge 0.0000 0.0000 0.0000

=====

No. 5
Structure and simulated powder diffraction line list of Ac5In2Ge5 (DFT lattice parameters and positions (PBE); Cu Kα (λ = 1.5418 Å)).

Most intense lines, 10° ≤ 2θ ≤ 90°, in order of rising 2θ:
(hkl)	2θ/deg	d [Å]	intensity
4 0 -1	24.7	3.598	26
3 1 0	28.8	3.104	32
3 1 -3	29.9	2.991	100
3 1 1	32.7	2.741	23
1 1 -4	35.3	2.546	23
0 2 0	39.9	2.261	33

Atomic structure:
Cell: 14.8632 4.5221 12.9985 Å, 90.00 120.53 90.00°
Space group C2/m (No. 12)
Asymmetric unit:
Ac 0.0000 0.0000 0.0000
Ac 0.1520 0.0000 0.5076
Ac 0.1870 0.0000 0.8188
In 0.0718 0.5000 0.2680
Ge 0.0000 0.5000 0.5000
Ge 0.1162 0.5000 0.9329
Ge 0.1995 0.0000 0.2837

=====

No. 6
Structure and simulated powder diffraction line list of AcInGe2 (DFT lattice parameters and positions (PBE); Cu Kα (λ = 1.5418 Å)).

Most intense lines, 10° ≤ 2θ ≤ 90°, in order of rising 2θ:
(hkl)	2θ/deg	d [Å]	intensity
1 0 2	25.9	3.434	36
1 1 2	33.0	2.711	100
1 0 4	38.8	2.321	24
2 0 0	40.8	2.209	33
2 0 4	53.4	1.717	17
3 1 2	69.4	1.354	23

Atomic structure:
Cell: 4.4190 4.4190 10.9102 Å, 90.00 90.00 90.00°
Space group P4_2mc (No. 105)
Asymmetric unit:
Ac 0.0000 0.0000 0.0000
In 0.0000 0.5000 0.2655
Ge 0.0000 0.5000 0.7507
Ge 0.5000 0.5000 0.0892

=====

No. 7
Structure and simulated powder diffraction line list of LiAcInGe2 (DFT lattice parameters and positions (PBE); Cu Kα (λ = 1.5418 Å)).

Most intense lines, 10° ≤ 2θ ≤ 90°, in order of rising 2θ:
(hkl)	2θ/deg	d [Å]	intensity
1 0 1	21.4	4.150	45
1 0 3	29.9	2.991	83
1 1 2	32.2	2.778	100
2 0 0	40.9	2.207	45
1 0 5	42.3	2.136	50
2 1 3	51.5	1.776	37

Atomic structure:
Cell: 4.4134 4.4134 12.2047 Å, 90.00 90.00 90.00°
Space group I-4m2 (No. 119)
Asymmetric unit:
Li 0.0000 0.0000 0.0000
Ac 0.0000 0.5000 0.2500
In 0.0000 0.0000 0.5000
Ge 0.0000 0.5000 0.6420

=====

No. 8
Structure and simulated powder diffraction line list of AcIn2GePd5 (DFT lattice parameters and positions (PBE); Cu Kα (λ = 1.5418 Å)).

Most intense lines, 10° ≤ 2θ ≤ 90°, in order of rising 2θ:
(hkl)	2θ/deg	d [Å]	intensity
1 0 3	26.6	3.347	62
1 1 2	27.3	3.266	84
1 2 1	36.8	2.444	100
2 0 0	37.8	2.381	73
0 2 4	40.2	2.244	80
2 2 4	56.3	1.633	59

Atomic structure:
Cell: 4.7611 5.8143 14.1157 Å, 90.00 90.00 90.00°
Space group Immm (No. 71)
Asymmetric unit:
Ac 0.0000 0.0000 0.0000
In 0.0000 0.5000 0.1974
Ge 0.0000 0.0000 0.5000
Pd 0.0000 0.2541 0.3594
Pd 0.0000 0.5000 0.0000